Record 1
# CoBr3
Computed powder X-ray diffraction pattern, Cu Kα (weighted mean of Kα1 and Kα2). Input: a cell relaxed with GGA-PBE.
Intensities are scaled so that the largest is 100.

Atomic structure:
Lattice parameters (Å, degrees): 6.2982 6.2982 16.6213 90.00 90.00 120.00
Space group R-3c (No. 167, hexagonal axes)
Symmetry-distinct sites (fractional):
Co 0.0000 0.0000 0.0000 (multiplicity 6)
Br 0.0000 0.3517 0.2500 (multiplicity 18)

Top 10 peaks for 2θ = 10–90°, by angle:
19.5°, I 26
32.3°, I 13
32.7°, I 100
43.5°, I 34
50.2°, I 29
57.9°, I 19
61.0°, I 11
61.2°, I 15
83.0°, I 11
88.8°, I 11



Record 2
# CoBr2
Computed powder X-ray diffraction pattern, Cu Kα (weighted mean of Kα1 and Kα2). Input: a cell relaxed with GGA-PBE.
Intensities are scaled so that the largest is 100.

Atomic structure:
Lattice parameters (Å, degrees): 14.2083 3.5428 7.8641 90.00 92.91 90.00
Space group Cm (No. 8)
Symmetry-distinct sites (fractional):
Co 0.0000 0.0000 0.0000 (multiplicity 2)
Co 0.1117 0.5000 0.3131 (multiplicity 2)
Br 0.1649 0.0000 0.0719 (multiplicity 2)
Br 0.1809 0.0000 0.5056 (multiplicity 2)
Br 0.4374 0.0000 0.8271 (multiplicity 2)
Br 0.4651 0.5000 0.2933 (multiplicity 2)

Top 10 peaks for 2θ = 10–90°, by angle:
11.3°, I 62
12.5°, I 100
16.4°, I 88
25.1°, I 63
25.4°, I 54
25.9°, I 35
33.9°, I 50
34.9°, I 41
40.7°, I 42
48.0°, I 40



Record 3
# CrCoBr3
Computed powder X-ray diffraction pattern, Cu Kα (weighted mean of Kα1 and Kα2). Input: a cell relaxed with GGA-PBE.
Intensities are scaled so that the largest is 100.

Atomic structure:
Lattice parameters (Å, degrees): 7.4372 7.4372 4.8784 90.00 90.00 120.00
Space group P6_3/mmc (No. 194)
Symmetry-distinct sites (fractional):
Cr 0.3333 0.6667 0.2500 (multiplicity 2)
Co 0.0000 0.0000 0.0000 (multiplicity 2)
Br 0.1814 0.3628 0.7500 (multiplicity 6)

Top 10 peaks for 2θ = 10–90°, by angle:
13.7°, I 17
27.7°, I 9
33.3°, I 100
36.9°, I 30
46.7°, I 25
49.0°, I 29
60.6°, I 14
62.8°, I 11
64.2°, I 14
81.5°, I 10



Record 4
# CsCo2Br6
Computed powder X-ray diffraction pattern, Cu Kα (weighted mean of Kα1 and Kα2). Input: a cell relaxed with GGA-PBE.
Intensities are scaled so that the largest is 100.

Atomic structure:
Lattice parameters (Å, degrees): 15.1943 14.4750 7.5650 90.00 117.60 90.00
Space group C2/c (No. 15)
Symmetry-distinct sites (fractional):
Cs 0.0000 0.1858 0.2500 (multiplicity 4)
Co 0.2282 0.4604 0.3008 (multiplicity 8)
Br 0.1282 0.0438 0.0149 (multiplicity 8)
Br 0.1278 0.4739 0.4760 (multiplicity 8)
Br 0.2472 0.3040 0.2671 (multiplicity 8)

Top 10 peaks for 2θ = 10–90°, by angle:
12.2°, I 58
13.2°, I 95
18.4°, I 32
25.8°, I 96
27.5°, I 100
28.2°, I 88
29.3°, I 77
29.4°, I 68
38.2°, I 30
44.1°, I 55